(1)
Diffraction record for MnTl4Br. The powder diffraction line list is simulated, not measured: it uses a DFT-relaxed cell (PBE, Alexandria) and Cu Kα (weighted mean of Kα1 and Kα2).

Peak list (12 most intense, 10 to 90 degrees two-theta, low angle first)
2theta	intensity
16.90	58.5
32.69	100.0
34.18	76.3
39.68	26.3
43.41	17.3
52.32	35.6
57.36	36.1
60.26	13.6
67.61	12.4
68.50	31.5
74.59	7.4
81.34	22.5

```
MnTl4Br
1.0
0.0000 4.5432 4.5432
4.5432 0.0000 4.5432
4.5432 4.5432 0.0000
Mn Tl Br
1 4 1
Direct
0.0000 0.0000 0.0000
0.1244 0.6252 0.6252
0.6252 0.1244 0.6252
0.6252 0.6252 0.1244
0.6252 0.6252 0.6252
0.2500 0.2500 0.2500
```

(2)
Diffraction record for Ac2PmGa4Pt3. The powder diffraction line list is simulated, not measured: it uses a DFT-relaxed cell (PBE, Alexandria) and Cu Kα (weighted mean of Kα1 and Kα2).

Peak list (12 most intense, 10 to 90 degrees two-theta, low angle first)
2theta	intensity
28.65	18.0
29.66	30.6
30.54	63.8
32.53	100.0
36.77	16.7
40.97	63.3
42.28	17.9
43.65	21.5
51.03	16.8
51.94	34.5
59.32	21.5
69.31	22.8

```
Ac2PmGa4Pt3
1.0
4.4061 0.0000 0.0000
0.0000 4.4061 0.0000
0.0000 0.0000 11.7506
Ac Pm Ga Pt
2 1 4 3
Direct
0.0000 0.5000 0.2257
0.5000 0.0000 0.7743
0.0000 0.0000 0.5000
0.0000 0.0000 0.0000
0.0000 0.5000 0.6668
0.5000 0.0000 0.3332
0.5000 0.5000 0.0000
0.0000 0.5000 0.8816
0.5000 0.0000 0.1184
0.5000 0.5000 0.5000
```

(3)
Diffraction record for LiPaBrCl4. The powder diffraction line list is simulated, not measured: it uses a DFT-relaxed cell (PBE, Alexandria) and Cu Kα (weighted mean of Kα1 and Kα2).

Peak list (12 most intense, 10 to 90 degrees two-theta, low angle first)
2theta	intensity
10.68	99.8
12.74	22.5
15.33	100.0
20.46	52.6
23.28	15.3
25.03	19.1
29.21	18.4
33.06	27.4
35.29	16.5
36.79	18.2
41.66	20.8
47.59	22.0

```
LiPaBrCl4
1.0
5.9913 -4.3398 0.0000
5.9913 4.3398 0.0000
-2.1585 0.0000 8.2848
Li Pa Br Cl
2 2 2 8
Direct
0.1382 0.1382 0.3177
0.8618 0.8618 0.6823
0.2889 0.2889 0.8905
0.7111 0.7111 0.1095
0.4729 0.4729 0.1851
0.5271 0.5271 0.8149
0.0100 0.3888 0.1455
0.0643 0.0643 0.7825
0.2662 0.2662 0.5737
0.3888 0.0100 0.1455
0.6112 0.9900 0.8545
0.7338 0.7338 0.4263
0.9357 0.9357 0.2175
0.9900 0.6112 0.8545
```

What did the second record say?
Diffraction record for Ac2PmGa4Pt3. The powder diffraction line list is simulated, not measured: it uses a DFT-relaxed cell (PBE, Alexandria) and Cu Kα (weighted mean of Kα1 and Kα2).

Peak list (12 most intense, 10 to 90 degrees two-theta, low angle first)
2theta	intensity
28.65	18.0
29.66	30.6
30.54	63.8
32.53	100.0
36.77	16.7
40.97	63.3
42.28	17.9
43.65	21.5
51.03	16.8
51.94	34.5
59.32	21.5
69.31	22.8

```
Ac2PmGa4Pt3
1.0
4.4061 0.0000 0.0000
0.0000 4.4061 0.0000
0.0000 0.0000 11.7506
Ac Pm Ga Pt
2 1 4 3
Direct
0.0000 0.5000 0.2257
0.5000 0.0000 0.7743
0.0000 0.0000 0.5000
0.0000 0.0000 0.0000
0.0000 0.5000 0.6668
0.5000 0.0000 0.3332
0.5000 0.5000 0.0000
0.0000 0.5000 0.8816
0.5000 0.0000 0.1184
0.5000 0.5000 0.5000
```